PmHo8Th4: calculated powder XRD pattern (copper Kα), based on a structure optimized by DFT (GGA-PBE).

The 12 most intense peaks (15° ≤ 2θ ≤ 90°), in order of rising 2θ:
- 2θ = 28.18°, rel. 25, (0 2 1)
- 2θ = 30.28°, rel. 32, (0 0 9)
- 2θ = 31.11°, rel. 100, (0 2 4)
- 2θ = 32.75°, rel. 48, (2 0 5)
- 2θ = 39.16°, rel. 31, (2 0 8)
- 2θ = 49.50°, rel. 30, (2 2 0)
- 2θ = 53.24°, rel. 19, (0 2 13)
- 2θ = 56.42°, rel. 10, (2 0 14)
- 2θ = 59.14°, rel. 25, (2 2 9)
- 2θ = 59.63°, rel. 14, (4 0 4)
- 2θ = 81.08°, rel. 10, (2 4 4)
- 2θ = 84.04°, rel. 10, (2 2 18)

Crystal structure
Lattice parameters (Å, degrees): 7.3654 7.3654 26.5662 90.00 90.00 120.00
Space group R-3m (No. 166, hexagonal axes)
Unique sites:
Pm: 0.0000 0.0000 0.0000
Ho: 0.0000 0.0000 0.2787
Ho: 0.0410 0.5205 0.2702
Th: 0.0000 0.0000 0.5000
Th: 0.0000 0.5000 0.5000



Pm14HoTh: calculated powder XRD pattern (copper Kα), based on a structure optimized by DFT (GGA-PBE).

The 12 most intense peaks (15° ≤ 2θ ≤ 90°), in order of rising 2θ:
- 2θ = 30.07°, rel. 100, (2 0 2)
- 2θ = 34.78°, rel. 17, (0 0 4)
- 2θ = 34.90°, rel. 34, (2 2 0)
- 2θ = 50.13°, rel. 36, (4 0 0)
- 2θ = 59.47°, rel. 14, (2 0 6)
- 2θ = 59.63°, rel. 29, (4 2 2)
- 2θ = 62.51°, rel. 12, (4 0 4)
- 2θ = 73.71°, rel. 4, (4 4 0)
- 2θ = 81.48°, rel. 12, (4 2 6)
- 2θ = 81.62°, rel. 6, (6 0 2)
- 2θ = 83.95°, rel. 5, (2 2 8)
- 2θ = 84.20°, rel. 11, (6 2 0)

Crystal structure
Lattice parameters (Å, degrees): 7.270 7.270 10.316 90.00 90.00 90.00
Space group P4/mmm (No. 123)
Unique sites:
Pm: 0.000 0.000 0.000
Pm: 0.000 0.500 0.000
Pm: 0.000 0.500 0.500
Pm: 0.248 0.248 0.253
Pm: 0.500 0.500 0.000
Ho: 0.500 0.500 0.500
Th: 0.000 0.000 0.500



Pm5Ho2Th2: calculated powder XRD pattern (copper Kα), based on a structure optimized by DFT (GGA-PBE).

The 12 most intense peaks (15° ≤ 2θ ≤ 90°), in order of rising 2θ:
- 2θ = 27.68°, rel. 31, (1 1 -1)
- 2θ = 29.06°, rel. 14, (3 1 -1)
- 2θ = 30.24°, rel. 100, (8 0 -1)
- 2θ = 31.30°, rel. 14, (3 1 1)
- 2θ = 33.12°, rel. 35, (4 0 -3)
- 2θ = 34.04°, rel. 46, (3 1 -2)
- 2θ = 35.71°, rel. 39, (5 1 1)
- 2θ = 36.31°, rel. 15, (6 0 2)
- 2θ = 37.57°, rel. 16, (7 1 0)
- 2θ = 52.29°, rel. 14, (0 2 0)
- 2θ = 53.61°, rel. 21, (1 1 4)
- 2θ = 61.59°, rel. 27, (8 2 -1)

Crystal structure
Lattice parameters (Å, degrees): 23.754 3.500 8.309 90.00 104.70 90.00
Space group C2/m (No. 12)
Unique sites:
Pm: 0.000 0.000 0.000
Pm: 0.092 0.000 0.748
Pm: 0.199 0.500 0.579
Ho: 0.152 0.000 0.203
Th: 0.051 0.500 0.377